# Cu3As
Simulated PXRD pattern, Cu Kα X-rays. Input: a PBE-relaxed structure.
Neutral-atom scattering factors, no anomalous dispersion.

Largest 9 diffraction maxima, in order of falling intensity, 2θ from 10° to 80°:
- d 2.237, rel. 100
- d 1.898, rel. 60
- d 2.135, rel. 43
- d 2.115, rel. 42
- d 1.864, rel. 28
- d 1.335, rel. 17
- d 1.325, rel. 17
- d 1.398, rel. 10
- d 1.293, rel. 8

Structure:
a = 4.509 Å, b = 4.509 Å, c = 4.558 Å
α = 98.88°, β = 98.88°, γ = 36.12°
Fractional positions:
Cu 0.000 0.000 0.000
Cu 0.252 0.252 0.759
Cu 0.748 0.748 0.241
As 0.500 0.500 0.500